The following is a simulated powder XRD pattern of GdSi2Ni10. It was derived from the PBE geometry in Alexandria, using a wavelength of 1.5418 Å.
Intensities are scaled so that the largest is 100.

Principal peaks in the range 10° ≤ 2θ ≤ 80°, in order of falling intensity:
2θ (°), intensity
43.74, 100
44.69, 96
38.67, 91
44.23, 62
44.12, 60
43.89, 54
31.13, 50
49.60, 42
45.37, 35
37.72, 34

Crystal structure
```
data_GdSi2Ni10
_chemical_formula_sum 'Gd1 Si2 Ni10'
_cell_length_a 6.223
_cell_length_b 6.223
_cell_length_c 6.223
_cell_angle_alpha 134.79
_cell_angle_beta 100.06
_cell_angle_gamma 96.94
_symmetry_space_group_name_H-M 'P 1'
_symmetry_Int_Tables_number 1
loop_
_symmetry_equiv_pos_as_xyz
'x,y,z'
loop_
_atom_site_label
_atom_site_type_symbol
_atom_site_fract_x
_atom_site_fract_y
_atom_site_fract_z
Gd1 Gd 0.000 0.000 0.000
Si1 Si 0.247 0.747 0.500
Si2 Si 0.753 0.253 0.500
Ni1 Ni 0.000 0.000 0.500
Ni2 Ni 0.000 0.500 0.000
Ni3 Ni 0.193 0.500 0.693
Ni4 Ni 0.348 0.000 0.348
Ni5 Ni 0.356 0.356 0.000
Ni6 Ni 0.500 0.000 0.000
Ni7 Ni 0.500 0.500 0.500
Ni8 Ni 0.644 0.644 0.000
Ni9 Ni 0.652 0.000 0.652
Ni10 Ni 0.807 0.500 0.307
```

The following is a simulated powder XRD pattern of GdSi2Ni2. It was derived from the PBE geometry in Alexandria, using a wavelength of 1.5418 Å.
Intensities are scaled so that the largest is 100.

Principal peaks in the range 10° ≤ 2θ ≤ 80°, in order of falling intensity:
2θ (°), intensity
36.97, 100
36.04, 52
24.15, 48
45.42, 40
59.31, 24
78.31, 21
67.45, 17
53.07, 16
37.61, 16
60.39, 15

Crystal structure
```
data_GdSi2Ni2
_chemical_formula_sum 'Gd2 Si4 Ni4'
_cell_length_a 3.993
_cell_length_b 3.993
_cell_length_c 9.567
_cell_angle_alpha 90.00
_cell_angle_beta 90.00
_cell_angle_gamma 90.00
_symmetry_space_group_name_H-M 'P 1'
_symmetry_Int_Tables_number 1
loop_
_symmetry_equiv_pos_as_xyz
'x,y,z'
loop_
_atom_site_label
_atom_site_type_symbol
_atom_site_fract_x
_atom_site_fract_y
_atom_site_fract_z
Gd1 Gd 0.000 0.000 0.000
Gd2 Gd 0.500 0.500 0.500
Si1 Si 0.000 0.000 0.372
Si2 Si 0.000 0.000 0.628
Si3 Si 0.500 0.500 0.128
Si4 Si 0.500 0.500 0.872
Ni1 Ni 0.000 0.500 0.250
Ni2 Ni 0.000 0.500 0.750
Ni3 Ni 0.500 0.000 0.250
Ni4 Ni 0.500 0.000 0.750
```

The following is a simulated powder XRD pattern of Gd2O3. It was derived from the PBE geometry in Alexandria, using a wavelength of 1.5418 Å.
Intensities are scaled so that the largest is 100.

Principal peaks in the range 10° ≤ 2θ ≤ 80°, in order of falling intensity:
2θ (°), intensity
28.46, 100
47.33, 40
32.98, 35
56.16, 33
20.02, 9
76.43, 9
42.43, 8
78.80, 7
58.90, 7
57.54, 6

Crystal structure
```
data_Gd2O3
_chemical_formula_sum 'Gd16 O24'
_cell_length_a 9.408
_cell_length_b 9.408
_cell_length_c 9.408
_cell_angle_alpha 109.47
_cell_angle_beta 109.47
_cell_angle_gamma 109.47
_symmetry_space_group_name_H-M 'P 1'
_symmetry_Int_Tables_number 1
loop_
_symmetry_equiv_pos_as_xyz
'x,y,z'
loop_
_atom_site_label
_atom_site_type_symbol
_atom_site_fract_x
_atom_site_fract_y
_atom_site_fract_z
Gd1 Gd 0.000 0.000 0.500
Gd2 Gd 0.000 0.500 0.000
Gd3 Gd 0.032 0.750 0.782
Gd4 Gd 0.218 0.968 0.250
Gd5 Gd 0.250 0.218 0.968
Gd6 Gd 0.250 0.718 0.468
Gd7 Gd 0.282 0.532 0.750
Gd8 Gd 0.468 0.250 0.718
Gd9 Gd 0.500 0.000 0.000
Gd10 Gd 0.500 0.500 0.500
Gd11 Gd 0.532 0.750 0.282
Gd12 Gd 0.718 0.468 0.250
Gd13 Gd 0.750 0.282 0.532
Gd14 Gd 0.750 0.782 0.032
Gd15 Gd 0.782 0.032 0.750
Gd16 Gd 0.968 0.250 0.218
O1 O 0.011 0.041 0.271
O2 O 0.030 0.489 0.760
O3 O 0.041 0.271 0.011
O4 O 0.229 0.270 0.740
O5 O 0.230 0.459 0.470
O6 O 0.240 0.970 0.511
O7 O 0.260 0.771 0.730
O8 O 0.270 0.740 0.229
O9 O 0.271 0.011 0.041
O10 O 0.459 0.470 0.230
O11 O 0.470 0.230 0.459
O12 O 0.489 0.760 0.030
O13 O 0.511 0.240 0.970
O14 O 0.530 0.770 0.541
O15 O 0.541 0.530 0.770
O16 O 0.729 0.989 0.959
O17 O 0.730 0.260 0.771
O18 O 0.740 0.229 0.270
O19 O 0.760 0.030 0.489
O20 O 0.770 0.541 0.530
O21 O 0.771 0.730 0.260
O22 O 0.959 0.729 0.989
O23 O 0.970 0.511 0.240
O24 O 0.989 0.959 0.729
```

The following is a simulated powder XRD pattern of Gd2O3. It was derived from the PBE geometry in Alexandria, using a wavelength of 1.5418 Å.
Intensities are scaled so that the largest is 100.

Principal peaks in the range 10° ≤ 2θ ≤ 80°, in order of falling intensity:
2θ (°), intensity
31.39, 100
48.61, 31
29.97, 28
27.49, 28
54.12, 28
58.17, 26
41.12, 25
59.02, 17
79.86, 15
75.68, 10

Crystal structure
```
data_Gd2O3
_chemical_formula_sum 'Gd2 O3'
_cell_length_a 3.746
_cell_length_b 3.746
_cell_length_c 5.962
_cell_angle_alpha 90.00
_cell_angle_beta 90.00
_cell_angle_gamma 120.00
_symmetry_space_group_name_H-M 'P 1'
_symmetry_Int_Tables_number 1
loop_
_symmetry_equiv_pos_as_xyz
'x,y,z'
loop_
_atom_site_label
_atom_site_type_symbol
_atom_site_fract_x
_atom_site_fract_y
_atom_site_fract_z
Gd1 Gd 0.333 0.667 0.249
Gd2 Gd 0.667 0.333 0.751
O1 O 0.000 0.000 0.000
O2 O 0.333 0.667 0.645
O3 O 0.667 0.333 0.355
```

- Number 2 is which compound?
  GdSi2Ni2